[1]
# Rb2ZnBr4
Theoretical powder XRD pattern, CuKα. Input: a crystal structure in the Materials Project, relaxed with PBE.

Most intense lines, 15 to 90 degrees two-theta, sorted by position:
h k l, Position (°2θ), d (Å), Rel. int.
1 1 -2, 15.9, 5.591, 28
1 0 -4, 22.6, 3.938, 38
2 0 -2, 22.8, 3.893, 42
0 0 4, 26.0, 3.425, 53
0 3 1, 27.8, 3.214, 100
2 1 -4, 27.9, 3.198, 33
2 2 -3, 29.9, 2.988, 98
1 3 -2, 30.0, 2.975, 56
0 3 3, 33.4, 2.679, 35
4 0 -4, 46.7, 1.947, 29

Structural model:
Cell: 7.7870 9.9261 15.7284 Å, 90.00 119.42 90.00°
Space group P2_1/c (No. 14)
One atom of each set of equivalent atoms:
Rb1 0.0817 0.0146 0.3278
Rb2 0.3411 0.1228 0.1031
Zn1 0.3259 0.7262 0.0767
Br1 0.1132 0.6779 0.6348
Br2 0.2130 0.6797 0.4141
Br3 0.3252 0.0174 0.5838
Br4 0.3386 0.1955 0.8173

***

[2]
# ReBr
Theoretical powder XRD pattern, CuKα. Input: a crystal structure in the Materials Project, relaxed with PBE.

Most intense lines, 15 to 90 degrees two-theta, sorted by position:
h k l, Position (°2θ), d (Å), Rel. int.
0 0 2, 20.3, 4.367, 29
1 0 0, 33.6, 2.664, 38
1 0 1, 35.2, 2.548, 100
0 0 4, 41.4, 2.183, 26
1 0 3, 46.2, 1.965, 74
1 0 4, 54.3, 1.689, 17
1 1 0, 60.2, 1.538, 29
1 1 4, 75.6, 1.257, 26
2 0 3, 79.1, 1.211, 16
1 0 7, 86.1, 1.130, 16

Structural model:
Cell: 3.0765 3.0765 8.7331 Å, 90.00 90.00 120.00°
Space group P6_3mc (No. 186)
One atom of each set of equivalent atoms:
Re1 0.3333 0.6667 0.0000
Br1 0.3333 0.6667 0.7218

***

[3]
# ReRuBr
Theoretical powder XRD pattern, CuKα. Input: a crystal structure in the Materials Project, relaxed with PBE.

Most intense lines, 15 to 90 degrees two-theta, sorted by position:
h k l, Position (°2θ), d (Å), Rel. int.
1 1 1, 25.3, 3.515, 39
2 0 0, 29.3, 3.044, 25
2 2 0, 42.0, 2.153, 100
3 1 1, 49.7, 1.836, 19
2 2 2, 52.0, 1.758, 7
4 0 0, 60.9, 1.522, 17
3 3 1, 67.0, 1.397, 8
4 2 0, 69.0, 1.361, 9
4 2 2, 76.7, 1.243, 34
5 1 1, 82.3, 1.172, 6

Structural model:
Cell: 6.0886 6.0886 6.0886 Å, 90.00 90.00 90.00°
Space group F-43m (No. 216)
One atom of each set of equivalent atoms:
Re1 0.0000 0.0000 0.0000
Ru1 0.2500 0.2500 0.2500
Br1 0.0000 0.0000 0.5000

***

[4]
# Re3S4Br3
Theoretical powder XRD pattern, CuKα. Input: a crystal structure in the Materials Project, relaxed with PBE.

Most intense lines, 15 to 90 degrees two-theta, sorted by position:
h k l, Position (°2θ), d (Å), Rel. int.
2 0 0, 19.5, 4.558, 74
0 0 3, 20.8, 4.278, 100
2 0 -1, 21.4, 4.161, 91
2 0 4, 32.4, 2.764, 74
-2 2 2, 32.5, 2.756, 74
2 2 5, 40.5, 2.229, 84
3 -1 4, 41.5, 2.175, 84
1 0 -6, 44.5, 2.036, 84
4 -1 3, 45.8, 1.982, 76
4 3 0, 47.0, 1.934, 77

Structural model:
Cell: 9.2340 9.2505 12.9922 Å, 83.29 83.23 82.66°
Space group P-1 (No. 2)
One atom of each set of equivalent atoms:
Re1 0.0118 0.0136 0.3539
Re2 0.1131 0.8091 0.5002
Re3 0.1699 0.0854 0.4917
Re4 0.3058 0.5275 0.0561
Re5 0.4408 0.4229 0.8811
Re6 0.4792 0.6885 0.9320
S1 0.0433 0.2382 0.6237
S2 0.0652 0.2632 0.3600
S3 0.2468 0.8931 0.6253
S4 0.2485 0.6264 0.8838
S5 0.2697 0.9229 0.3612
S6 0.2842 0.2872 0.0112
S7 0.3621 0.7670 0.0962
S8 0.3987 0.4206 0.2202
Br1 0.0237 0.0315 0.1589
Br2 0.0443 0.5752 0.1365
Br3 0.2650 0.5649 0.4971
Br4 0.3559 0.3197 0.7327
Br5 0.4035 0.2044 0.4829
Br6 0.4475 0.9461 0.8436

***

[5]
# Re3Se2Br5
Theoretical powder XRD pattern, CuKα. Input: a crystal structure in the Materials Project, relaxed with PBE.

Most intense lines, 15 to 90 degrees two-theta, sorted by position:
h k l, Position (°2θ), d (Å), Rel. int.
4 2 1, 39.0, 2.312, 50
3 -1 4, 39.5, 2.281, 75
3 -2 3, 40.0, 2.252, 44
-4 1 2, 42.6, 2.121, 52
4 -1 3, 43.0, 2.106, 58
0 1 -6, 43.6, 2.078, 43
4 3 0, 43.7, 2.073, 100
1 0 -6, 43.8, 2.068, 49
0 4 -3, 44.0, 2.056, 80
4 4 1, 49.1, 1.856, 76

Structural model:
Cell: 9.8910 9.9022 13.1341 Å, 84.22 83.30 82.80°
Space group P1 (No. 1)
One atom of each set of equivalent atoms:
Re1 0.0000 0.0000 0.0000
Re2 0.0190 0.0271 0.7118
Re3 0.1098 0.8406 0.8540
Re4 0.1733 0.0939 0.8510
Re5 0.3273 0.5400 0.4161
Re6 0.4557 0.4418 0.2434
Re7 0.4909 0.6900 0.2916
Re8 0.5293 0.3360 0.4246
Re9 0.5639 0.5812 0.4725
Re10 0.6932 0.4840 0.3010
Re11 0.8458 0.9334 0.8608
Re12 0.9091 0.1865 0.8577
Se1 0.0604 0.2390 0.9894
Se2 0.2499 0.9148 0.9864
Se3 0.3687 0.7720 0.4557
Se4 0.4064 0.4384 0.5849
Se5 0.6500 0.2544 0.2572
Se6 0.7541 0.3831 0.4747
Se7 0.7692 0.1125 0.7252
Se8 0.9583 0.7883 0.7225
Br1 0.0372 0.0478 0.5175
Br2 0.0759 0.2828 0.7093
Br3 0.0808 0.5771 0.4913
Br4 0.2453 0.6075 0.8510
Br5 0.2580 0.6513 0.2332
Br6 0.2836 0.9307 0.7075
Br7 0.2919 0.2944 0.3631
Br8 0.3815 0.3468 0.0922
Br9 0.3895 0.2047 0.8371
Br10 0.4656 0.9291 0.2041
Br11 0.5538 0.0945 0.5108
Br12 0.6119 0.5889 0.1189
Br13 0.6292 0.8227 0.8754
Br14 0.6392 0.6797 0.6226
Br15 0.7256 0.7345 0.3427
Br16 0.7356 0.0962 0.0046
Br17 0.7734 0.4196 0.8610
Br18 0.9386 0.4480 0.2228
Br19 0.9433 0.7442 0.0028
Br20 0.9821 0.9798 0.1945

***

[6]
# Re3Se2Br5
Theoretical powder XRD pattern, CuKα. Input: a crystal structure in the Materials Project, relaxed with PBE.

Most intense lines, 15 to 90 degrees two-theta, sorted by position:
h k l, Position (°2θ), d (Å), Rel. int.
1 1 2, 15.1, 5.882, 49
0 2 0, 16.8, 5.271, 41
0 0 3, 17.4, 5.103, 100
2 0 2, 20.1, 4.427, 61
1 -2 2, 23.7, 3.760, 37
1 3 1, 25.3, 3.521, 34
3 0 3, 30.2, 2.957, 37
4 0 -2, 36.7, 2.451, 40
-3 2 4, 41.2, 2.192, 32
5 0 -3, 47.6, 1.912, 35

Structural model:
Cell: 10.7453 10.7952 15.3689 Å, 86.07 86.49 78.48°
Space group P1 (No. 1)
One atom of each set of equivalent atoms:
Re1 0.0000 0.0000 0.0000
Re2 0.0140 0.6644 0.7144
Re3 0.1910 0.8267 0.9906
Re4 0.3216 0.2449 0.3517
Re5 0.3817 0.4703 0.3675
Re6 0.4593 0.2775 0.4804
Re7 0.4850 0.3461 0.2394
Re8 0.5656 0.1437 0.3469
Re9 0.6172 0.3690 0.3627
Re10 0.8181 0.8388 0.7300
Re11 0.9619 0.8031 0.5995
Re12 0.9757 0.7919 0.0733
Se1 0.1154 0.9173 0.1311
Se2 0.1496 0.6208 0.0155
Se3 0.2274 0.3797 0.4756
Se4 0.4076 0.0672 0.4582
Se5 0.4971 0.5003 0.1152
Se6 0.7131 0.2391 0.2377
Se7 0.8009 0.9743 0.0758
Se8 0.8273 0.0349 0.7670
Br1 0.0884 0.9611 0.5854
Br2 0.1268 0.1553 0.3310
Br3 0.1715 0.0126 0.8734
Br4 0.2111 0.6995 0.7635
Br5 0.2357 0.4407 0.2452
Br6 0.3017 0.7018 0.3508
Br7 0.4150 0.8427 0.9972
Br8 0.4363 0.1168 0.2131
Br9 0.4454 0.2516 0.6445
Br10 0.5135 0.5063 0.4940
Br11 0.6116 0.8189 0.6859
Br12 0.6137 0.4255 0.9878
Br13 0.6903 0.9226 0.3279
Br14 0.7040 0.1652 0.4775
Br15 0.8003 0.4750 0.3537
Br16 0.8275 0.6461 0.1044
Br17 0.8347 0.6670 0.8509
Br18 0.8693 0.7019 0.4952
Br19 0.9458 0.2347 0.9903
Br20 0.9819 0.4616 0.6750

***

[7]
# Re3Se4Br
Theoretical powder XRD pattern, CuKα. Input: a crystal structure in the Materials Project, relaxed with PBE.

Most intense lines, 15 to 90 degrees two-theta, sorted by position:
h k l, Position (°2θ), d (Å), Rel. int.
1 1 -1, 15.3, 5.788, 100
1 2 2, 30.8, 2.900, 31
2 0 -4, 34.9, 2.572, 42
1 4 2, 40.5, 2.230, 28
1 5 -2, 41.3, 2.189, 56
1 3 3, 41.7, 2.164, 27
3 1 -1, 42.3, 2.136, 29
2 4 1, 45.7, 1.985, 27
2 5 -2, 46.6, 1.951, 55
3 1 -5, 48.5, 1.877, 40

Structural model:
Cell: 6.7058 12.0917 11.3655 Å, 90.00 114.90 90.00°
Space group P2_1/c (No. 14)
One atom of each set of equivalent atoms:
Re1 0.0289 0.1413 0.4386
Re2 0.0365 0.0652 0.6582
Re3 0.3032 0.5200 0.0626
Se1 0.2312 0.7147 0.9721
Se2 0.2647 0.0590 0.3336
Se3 0.3009 0.5910 0.2715
Se4 0.3557 0.1738 0.6557
Br1 0.0957 0.1485 0.8871